[1]
Starting from a crystal structure in Alexandria, relaxed with PBE, the X-ray diffraction stick pattern of Ni2Pt3 was computed for λ = 1.5418 Å (Cu Kα).
Peak positions follow from Bragg's law for the DFT cell and can differ from measured ones.

Top 6 peaks for 10° ≤ 2θ ≤ 80°, most intense first:
(0 1 5), 2θ 40.47, d 2.229, intensity 100
(1 0 10), 2θ 47.44, d 1.917, intensity 62
(0 0 15), 2θ 41.68, d 2.167, intensity 28
(1 1 0), 2θ 68.48, d 1.370, intensity 21
(0 0 9), 2θ 24.65, d 3.612, intensity 18
(0 1 20), 2θ 70.19, d 1.341, intensity 17

Crystal structure
```
data_Ni2Pt3
_cell_length_a 2.7401
_cell_length_b 2.7401
_cell_length_c 32.5042
_cell_angle_alpha 90.00
_cell_angle_beta 90.00
_cell_angle_gamma 120.00
_space_group_name_H-M_alt 'R -3 m'
_space_group_IT_number 166
_space_group_name_Hall '-R 3 2"'
loop_
_atom_site_label
_atom_site_fract_x
_atom_site_fract_y
_atom_site_fract_z
Ni1 0.0000 0.0000 0.1017
Pt1 0.0000 0.0000 0.2960
Pt2 0.0000 0.0000 0.5000
```

---

[2]
Starting from a crystal structure in Alexandria, relaxed with PBE, the X-ray diffraction stick pattern of Tb3Y5Se8 was computed for λ = 1.5418 Å (Cu Kα).
Peak positions follow from Bragg's law for the DFT cell and can differ from measured ones.

Top 6 peaks for 10° ≤ 2θ ≤ 80°, most intense first:
(0 2 4), 2θ 30.91, d 2.893, intensity 100
(2 2 0), 2θ 44.28, d 2.046, intensity 73
(2 4 4), 2θ 73.15, d 1.294, intensity 32
(4 0 4), 2θ 54.98, d 1.670, intensity 26
(0 4 8), 2θ 64.41, d 1.446, intensity 12
(2 0 2), 2θ 26.69, d 3.340, intensity 7

Crystal structure
```
data_Tb3Y5Se8
_cell_length_a 8.1829
_cell_length_b 8.1829
_cell_length_c 20.0388
_cell_angle_alpha 90.00
_cell_angle_beta 90.00
_cell_angle_gamma 120.00
_space_group_name_H-M_alt 'R -3 m'
_space_group_IT_number 166
_space_group_name_Hall '-R 3 2"'
loop_
_atom_site_label
_atom_site_fract_x
_atom_site_fract_y
_atom_site_fract_z
Tb1 0.0000 0.5000 0.0000
Y1 0.0000 0.0000 0.0000
Y2 0.0000 0.0000 0.5000
Y3 0.0000 0.5000 0.5000
Se1 0.0000 0.0000 0.2497
Se2 0.9997 0.4998 0.2498
```

---

[3]
Starting from a crystal structure in Alexandria, relaxed with PBE, the X-ray diffraction stick pattern of LiCaIn4Ag2 was computed for λ = 1.5418 Å (Cu Kα).
Peak positions follow from Bragg's law for the DFT cell and can differ from measured ones.

Top 6 peaks for 10° ≤ 2θ ≤ 80°, most intense first:
(1 1 0), 2θ 37.93, d 2.372, intensity 100
(0 1 8), 2θ 33.02, d 2.713, intensity 78
(0 1 11), 2θ 40.76, d 2.214, intensity 35
(1 0 19), 2θ 65.42, d 1.427, intensity 31
(0 0 6), 2θ 18.42, d 4.817, intensity 30
(0 1 5), 2θ 26.62, d 3.349, intensity 25

Crystal structure
```
data_LiCaIn4Ag2
_cell_length_a 4.7442
_cell_length_b 4.7442
_cell_length_c 28.9023
_cell_angle_alpha 90.00
_cell_angle_beta 90.00
_cell_angle_gamma 120.00
_space_group_name_H-M_alt 'R -3 m'
_space_group_IT_number 166
_space_group_name_Hall '-R 3 2"'
loop_
_atom_site_label
_atom_site_fract_x
_atom_site_fract_y
_atom_site_fract_z
Li1 0.0000 0.0000 0.0000
Ca1 0.0000 0.0000 0.5000
In1 0.0000 0.0000 0.1046
In2 0.0000 0.0000 0.3742
Ag1 0.0000 0.0000 0.2681
```